For ZrTa14Nb, the GGA-PBE geometry in Alexandria gives the computed powder diffraction line list in this record (Cu Kα, 1.54184 Å).
Intensities are scaled so that the largest is 100.

Structural model:
a = 5.779 Å, b = 5.779 Å, c = 9.433 Å
α = 90.00°, β = 90.00°, γ = 109.50°
Positions (direct):
Zr 0.000 0.000 0.000
Ta 0.000 0.000 0.500
Ta 0.000 0.500 0.000
Ta 0.000 0.500 0.500
Ta 0.247 0.753 0.251
Ta 0.247 0.753 0.749
Ta 0.257 0.257 0.255
Ta 0.257 0.257 0.745
Ta 0.500 0.000 0.000
Ta 0.500 0.000 0.500
Ta 0.500 0.500 0.500
Ta 0.743 0.743 0.255
Ta 0.743 0.743 0.745
Ta 0.753 0.247 0.251
Ta 0.753 0.247 0.749
Nb 0.500 0.500 0.000

Most intense lines, 10° ≤ 2θ ≤ 90°, by angle:
| 2θ/deg | Rel. int. |
| --- | --- |
| 18.81 | 1 |
| 21.05 | 1 |
| 38.15 | 100 |
| 55.06 | 17 |
| 68.96 | 35 |
| 81.64 | 11 |